[1]
This entry pairs a crystal structure of CuNi5Cl12 with its simulated powder diffractogram. Radiation: Cu Kα, 1.54184 Å. Structure: a structure optimized by DFT (PBE).
Kinematic intensities with the Lorentz-polarization factor, no thermal factor.

Peak list (10 most intense, 15° ≤ 2θ ≤ 90°, sorted by position)
| 2θ (°) | I (rel.) |
| --- | --- |
| 30.4 | 45 |
| 32.9 | 89 |
| 36.8 | 100 |
| 41.6 | 48 |
| 47.2 | 59 |
| 52.4 | 19 |
| 53.0 | 58 |
| 53.4 | 15 |
| 60.2 | 15 |
| 69.1 | 20 |

Atomic structure:
a = 6.037 Å, b = 10.474 Å, c = 12.488 Å
α = 90.00°, β = 90.11°, γ = 90.00°
Space group C2/m (No. 12)
Symmetry-distinct sites (fractional):
Cu: 0.000 0.000 0.000 x2
Ni: 0.000 0.167 0.500 x4
Ni: 0.000 0.333 0.000 x4
Ni: 0.000 0.500 0.500 x2
Cl: 0.159 0.500 0.105 x4
Cl: 0.166 0.000 0.396 x4
Cl: 0.166 0.333 0.396 x8
Cl: 0.171 0.171 0.106 x8

---

[2]
This entry pairs a crystal structure of Ag3SbAu2 with its simulated powder diffractogram. Radiation: Cu Kα, 1.54184 Å. Structure: a structure optimized by DFT (PBE).
Kinematic intensities with the Lorentz-polarization factor, no thermal factor.

Peak list (10 most intense, 15° ≤ 2θ ≤ 90°, sorted by position)
| 2θ (°) | I (rel.) |
| --- | --- |
| 20.8 | 33 |
| 34.8 | 33 |
| 35.9 | 84 |
| 36.8 | 84 |
| 37.3 | 100 |
| 38.4 | 75 |
| 39.0 | 70 |
| 51.9 | 29 |
| 55.2 | 23 |
| 65.4 | 29 |

Atomic structure:
a = 7.340 Å, b = 8.263 Å, c = 7.861 Å
α = 90.00°, β = 97.49°, γ = 90.00°
Space group C2/c (No. 15)
Symmetry-distinct sites (fractional):
Ag: 0.000 0.131 0.250 x4
Ag: 0.221 0.082 0.974 x8
Sb: 0.000 0.481 0.250 x4
Au: 0.134 0.220 0.626 x8

---

[3]
This entry pairs a crystal structure of Ce2YTiN5 with its simulated powder diffractogram. Radiation: Cu Kα, 1.54184 Å. Structure: a structure optimized by DFT (PBE).
Kinematic intensities with the Lorentz-polarization factor, no thermal factor.

Peak list (10 most intense, 15° ≤ 2θ ≤ 90°, sorted by position)
| 2θ (°) | I (rel.) |
| --- | --- |
| 15.9 | 19 |
| 26.3 | 17 |
| 30.9 | 100 |
| 32.1 | 24 |
| 32.3 | 28 |
| 35.8 | 18 |
| 46.2 | 22 |
| 56.4 | 16 |
| 56.8 | 21 |
| 61.9 | 17 |

Atomic structure:
a = 3.505 Å, b = 13.551 Å, c = 11.170 Å
α = 90.00°, β = 90.00°, γ = 90.00°
Space group Cmc2_1 (No. 36)
Symmetry-distinct sites (fractional):
Ce: 0.000 0.128 0.000 x4
Ce: 0.000 0.132 0.535 x4
Y: 0.000 0.231 0.277 x4
Ti: 0.000 0.497 0.775 x4
N: 0.000 0.057 0.328 x4
N: 0.000 0.282 0.932 x4
N: 0.000 0.286 0.632 x4
N: 0.000 0.385 0.365 x4
N: 0.000 0.466 0.108 x4

---

[4]
This entry pairs a crystal structure of LaYHo2Tl2 with its simulated powder diffractogram. Radiation: Cu Kα, 1.54184 Å. Structure: a structure optimized by DFT (PBE).
Kinematic intensities with the Lorentz-polarization factor, no thermal factor.

Peak list (10 most intense, 15° ≤ 2θ ≤ 90°, sorted by position)
| 2θ (°) | I (rel.) |
| --- | --- |
| 29.5 | 14 |
| 31.5 | 43 |
| 31.6 | 100 |
| 32.7 | 69 |
| 34.3 | 26 |
| 34.6 | 48 |
| 37.5 | 18 |
| 44.6 | 13 |
| 51.9 | 14 |
| 60.1 | 29 |

Atomic structure:
a = 5.187 Å, b = 10.145 Å, c = 6.800 Å
α = 90.00°, β = 90.00°, γ = 90.00°
Space group Pmc2_1 (No. 26)
Symmetry-distinct sites (fractional):
La: 0.000 0.041 0.000 x2
Y: 0.500 0.196 0.726 x2
Ho: 0.000 0.320 0.378 x2
Ho: 0.500 0.456 0.094 x2
Tl: 0.000 0.369 0.842 x2
Tl: 0.500 0.143 0.265 x2

---

[5]
This entry pairs a crystal structure of Cs2HfSbI6 with its simulated powder diffractogram. Radiation: Cu Kα, 1.54184 Å. Structure: a structure optimized by DFT (PBE).
Kinematic intensities with the Lorentz-polarization factor, no thermal factor.

Peak list (10 most intense, 15° ≤ 2θ ≤ 90°, sorted by position)
| 2θ (°) | I (rel.) |
| --- | --- |
| 19.4 | 34 |
| 23.8 | 56 |
| 27.6 | 100 |
| 36.1 | 19 |
| 39.4 | 69 |
| 44.3 | 14 |
| 46.6 | 18 |
| 48.8 | 22 |
| 64.4 | 24 |
| 71.5 | 16 |

Atomic structure:
a = 12.932 Å, b = 12.932 Å, c = 12.932 Å
α = 90.00°, β = 90.00°, γ = 90.00°
Space group Fm-3m (No. 225)
Symmetry-distinct sites (fractional):
Cs: 0.250 0.250 0.250 x8
Hf: 0.000 0.000 0.000 x4
Sb: 0.000 0.000 0.500 x4
I: 0.000 0.000 0.222 x24

---

[6]
This entry pairs a crystal structure of LiNi with its simulated powder diffractogram. Radiation: Cu Kα, 1.54184 Å. Structure: a structure optimized by DFT (PBE).
Kinematic intensities with the Lorentz-polarization factor, no thermal factor.

Peak list (10 most intense, 15° ≤ 2θ ≤ 90°, sorted by position)
| 2θ (°) | I (rel.) |
| --- | --- |
| 20.9 | 83 |
| 22.3 | 100 |
| 26.6 | 29 |
| 37.9 | 18 |
| 38.2 | 17 |
| 43.0 | 39 |
| 43.9 | 38 |
| 45.5 | 53 |
| 47.2 | 56 |
| 53.7 | 17 |

Atomic structure:
a = 4.557 Å, b = 4.953 Å, c = 8.245 Å
α = 90.00°, β = 90.00°, γ = 90.00°
Space group P2_12_12_1 (No. 19)
Symmetry-distinct sites (fractional):
Li: 0.009 0.118 0.250 x4
Li: 0.200 0.860 0.000 x4
Ni: 0.026 0.604 0.738 x4
Ni: 0.190 0.350 0.986 x4

---

[7]
This entry pairs a crystal structure of Nb4Si7Ni4 with its simulated powder diffractogram. Radiation: Cu Kα, 1.54184 Å. Structure: a structure optimized by DFT (PBE).
Kinematic intensities with the Lorentz-polarization factor, no thermal factor.

Peak list (10 most intense, 15° ≤ 2θ ≤ 90°, sorted by position)
| 2θ (°) | I (rel.) |
| --- | --- |
| 28.2 | 14 |
| 31.1 | 17 |
| 34.3 | 14 |
| 39.9 | 100 |
| 40.3 | 25 |
| 42.5 | 63 |
| 42.9 | 29 |
| 63.9 | 12 |
| 67.0 | 21 |
| 67.6 | 23 |

Atomic structure:
a = 12.645 Å, b = 12.645 Å, c = 5.025 Å
α = 90.00°, β = 90.00°, γ = 90.00°
Space group I4/mmm (No. 139)
Symmetry-distinct sites (fractional):
Nb: 0.000 0.191 0.000 x8
Nb: 0.135 0.135 0.500 x8
Si: 0.000 0.000 0.251 x4
Si: 0.000 0.291 0.500 x8
Si: 0.000 0.407 0.000 x8
Si: 0.208 0.208 0.000 x8
Ni: 0.148 0.352 0.250 x16

---

[8]
This entry pairs a crystal structure of CsTcHg2F8 with its simulated powder diffractogram. Radiation: Cu Kα, 1.54184 Å. Structure: a structure optimized by DFT (PBE).
Kinematic intensities with the Lorentz-polarization factor, no thermal factor.

Peak list (10 most intense, 15° ≤ 2θ ≤ 90°, sorted by position)
| 2θ (°) | I (rel.) |
| --- | --- |
| 21.1 | 95 |
| 27.3 | 100 |
| 27.8 | 58 |
| 29.2 | 60 |
| 31.8 | 22 |
| 38.3 | 27 |
| 39.6 | 55 |
| 43.8 | 31 |
| 47.6 | 27 |
| 50.4 | 20 |

Atomic structure:
a = 4.883 Å, b = 5.834 Å, c = 8.028 Å
α = 89.96°, β = 89.91°, γ = 74.49°
Space group P-1 (No. 2)
Symmetry-distinct sites (fractional):
Cs: 0.000 0.000 0.000 x1
Tc: 0.000 0.000 0.500 x1
Hg: 0.499 0.500 0.244 x2
F: 0.058 0.218 0.674 x2
F: 0.059 0.218 0.326 x2
F: 0.393 0.794 0.500 x2
F: 0.399 0.311 0.000 x2

---

[9]
This entry pairs a crystal structure of Hf5Sb2C2 with its simulated powder diffractogram. Radiation: Cu Kα, 1.54184 Å. Structure: a structure optimized by DFT (PBE).
Kinematic intensities with the Lorentz-polarization factor, no thermal factor.

Peak list (10 most intense, 15° ≤ 2θ ≤ 90°, sorted by position)
| 2θ (°) | I (rel.) |
| --- | --- |
| 23.7 | 16 |
| 26.5 | 15 |
| 29.8 | 20 |
| 30.3 | 26 |
| 30.8 | 17 |
| 32.2 | 52 |
| 35.8 | 100 |
| 39.7 | 33 |
| 45.2 | 16 |
| 69.5 | 15 |

Atomic structure:
a = 12.133 Å, b = 4.542 Å, c = 7.014 Å
α = 90.00°, β = 106.65°, γ = 90.00°
Space group C2/m (No. 12)
Symmetry-distinct sites (fractional):
Hf: 0.000 0.000 0.000 x2
Hf: 0.140 0.000 0.591 x4
Hf: 0.159 0.500 0.948 x4
Sb: 0.096 0.500 0.316 x4
C: 0.160 0.000 0.902 x4

---

[10]
This entry pairs a crystal structure of Ce3UCo8 with its simulated powder diffractogram. Radiation: Cu Kα, 1.54184 Å. Structure: a structure optimized by DFT (PBE).
Kinematic intensities with the Lorentz-polarization factor, no thermal factor.

Peak list (10 most intense, 15° ≤ 2θ ≤ 90°, sorted by position)
| 2θ (°) | I (rel.) |
| --- | --- |
| 21.9 | 17 |
| 36.2 | 66 |
| 42.7 | 100 |
| 44.8 | 14 |
| 65.1 | 18 |
| 65.2 | 6 |
| 69.6 | 28 |
| 76.8 | 11 |
| 76.9 | 11 |
| 88.1 | 11 |

Atomic structure:
a = 4.9634 Å, b = 4.9634 Å, c = 24.2737 Å
α = 90.00°, β = 90.00°, γ = 120.00°
Space group R3m (No. 160, hexagonal axes)
Symmetry-distinct sites (fractional):
Ce: 0.0000 0.0000 0.0000 x3
Ce: 0.0000 0.0000 0.1252 x3
Ce: 0.0000 0.0000 0.6267 x3
U: 0.0000 0.0000 0.5014 x3
Co: 0.0000 0.0000 0.3134 x3
Co: 0.0000 0.0000 0.8139 x3
Co: 0.0036 0.5018 0.0653 x9
Co: 0.1675 0.3350 0.8950 x9

---

[11]
This entry pairs a crystal structure of TmHfZn17 with its simulated powder diffractogram. Radiation: Cu Kα, 1.54184 Å. Structure: a structure optimized by DFT (PBE).
Kinematic intensities with the Lorentz-polarization factor, no thermal factor.

Peak list (10 most intense, 15° ≤ 2θ ≤ 90°, sorted by position)
| 2θ (°) | I (rel.) |
| --- | --- |
| 28.8 | 28 |
| 35.1 | 41 |
| 36.2 | 22 |
| 40.7 | 53 |
| 40.9 | 100 |
| 41.5 | 30 |
| 41.9 | 21 |
| 46.0 | 21 |
| 74.1 | 22 |
| 75.4 | 19 |

Atomic structure:
a = 8.8617 Å, b = 8.8617 Å, c = 13.0408 Å
α = 90.00°, β = 90.00°, γ = 120.00°
Space group R3m (No. 160, hexagonal axes)
Symmetry-distinct sites (fractional):
Tm: 0.0000 0.0000 0.0000 x3
Hf: 0.0000 0.0000 0.3336 x3
Zn: 0.0000 0.0000 0.5602 x3
Zn: 0.0000 0.0000 0.7607 x3
Zn: 0.0332 0.3637 0.3318 x18
Zn: 0.1678 0.3356 0.1472 x9
Zn: 0.1723 0.3447 0.5010 x9
Zn: 0.1801 0.3603 0.8463 x9

---

[12]
This entry pairs a crystal structure of HgAsO2 with its simulated powder diffractogram. Radiation: Cu Kα, 1.54184 Å. Structure: a structure optimized by DFT (PBE).
Kinematic intensities with the Lorentz-polarization factor, no thermal factor.

Peak list (10 most intense, 15° ≤ 2θ ≤ 90°, sorted by position)
| 2θ (°) | I (rel.) |
| --- | --- |
| 18.0 | 12 |
| 29.5 | 100 |
| 34.8 | 18 |
| 42.3 | 15 |
| 46.3 | 4 |
| 52.4 | 41 |
| 55.9 | 6 |
| 61.3 | 15 |
| 69.5 | 18 |
| 84.8 | 22 |

Atomic structure:
a = 8.552 Å, b = 8.552 Å, c = 8.552 Å
α = 90.00°, β = 90.00°, γ = 90.00°
Space group Fd-3m (No. 227, origin choice 2)
Symmetry-distinct sites (fractional):
Hg: 0.125 0.125 0.125 x8
As: 0.125 0.125 0.625 x8
O: 0.000 0.000 0.500 x16